[1]
# NaMg2HSe2O7
Theoretical powder diffractogram, Cu Kα X-rays. Input: a cell relaxed with GGA-PBE.

Largest 8 diffraction maxima, in order of falling intensity, 2θ = 15–90°:
two_theta  d/Å  I (rel.)
22.19  4.006  100
26.54  3.359  74
28.91  3.088  64
32.00  2.797  60
28.45  3.137  48
59.93  1.543  44
35.27  2.545  41
36.86  2.438  29

Structural model:
```
data_NaMg2HSe2O7
_chemical_formula_sum 'Na4 Mg8 H4 Se8 O28'
_symmetry_space_group_name_H-M 'P n m a'
_symmetry_Int_Tables_number 62
_symmetry_space_group_name_Hall '-P 2ac 2n'
_cell_length_a 13.5333
_cell_length_b 6.1778
_cell_length_c 8.3777
_cell_angle_alpha 90.00
_cell_angle_beta 90.00
_cell_angle_gamma 90.00
loop_
_atom_site_label
_atom_site_type_symbol
_atom_site_fract_x
_atom_site_fract_y
_atom_site_fract_z
Na1 Na 0.2491 0.2500 0.1306
Mg1 Mg 0.0000 0.0000 0.5000
Mg2 Mg 0.1123 0.2500 0.7863
H1 H 0.1554 0.2500 0.4719
Se1 Se 0.0271 0.7500 0.8801
Se2 Se 0.1727 0.7500 0.2740
O1 O 0.0188 0.5310 0.7506
O2 O 0.0872 0.2500 0.0308
O3 O 0.0959 0.2500 0.5373
O4 O 0.1097 0.7500 0.4573
O5 O 0.2427 0.0438 0.8015
```

---

[2]
# TiAl3
Theoretical powder diffractogram, Cu Kα X-rays. Input: a cell relaxed with GGA-PBE.

Largest 8 diffraction maxima, in order of falling intensity, 2θ = 15–90°:
two_theta  d/Å  I (rel.)
39.25  2.296  100
45.63  1.988  48
80.04  1.199  34
66.52  1.406  29
84.39  1.148  10
22.36  3.976  9
31.83  2.811  7
51.39  1.778  3

Structural model:
```
data_TiAl3
_chemical_formula_sum 'Ti1 Al3'
_symmetry_space_group_name_H-M 'P m -3 m'
_symmetry_Int_Tables_number 221
_symmetry_space_group_name_Hall '-P 4 2 3'
_cell_length_a 3.9760
_cell_length_b 3.9760
_cell_length_c 3.9760
_cell_angle_alpha 90.00
_cell_angle_beta 90.00
_cell_angle_gamma 90.00
loop_
_atom_site_label
_atom_site_type_symbol
_atom_site_fract_x
_atom_site_fract_y
_atom_site_fract_z
Ti1 Ti 0.0000 0.0000 0.0000
Al1 Al 0.0000 0.5000 0.5000
```

---

[3]
# Hf3Ag
Theoretical powder diffractogram, Cu Kα X-rays. Input: a cell relaxed with GGA-PBE.

Largest 8 diffraction maxima, in order of falling intensity, 2θ = 15–90°:
two_theta  d/Å  I (rel.)
35.57  2.524  100
41.31  2.186  50
71.59  1.318  39
59.84  1.546  33
75.31  1.262  11
89.73  1.093  6
20.31  4.371  3
28.88  3.091  2

Structural model:
```
data_Hf3Ag
_chemical_formula_sum 'Hf3 Ag1'
_symmetry_space_group_name_H-M 'P m -3 m'
_symmetry_Int_Tables_number 221
_symmetry_space_group_name_Hall '-P 4 2 3'
_cell_length_a 4.3715
_cell_length_b 4.3715
_cell_length_c 4.3715
_cell_angle_alpha 90.00
_cell_angle_beta 90.00
_cell_angle_gamma 90.00
loop_
_atom_site_label
_atom_site_type_symbol
_atom_site_fract_x
_atom_site_fract_y
_atom_site_fract_z
Hf1 Hf 0.0000 0.0000 0.5000
Ag1 Ag 0.5000 0.5000 0.5000
```

---

[4]
# TbCrSe3
Theoretical powder diffractogram, Cu Kα X-rays. Input: a cell relaxed with GGA-PBE.

Largest 8 diffraction maxima, in order of falling intensity, 2θ = 15–90°:
two_theta  d/Å  I (rel.)
32.36  2.767  100
34.42  2.606  71
35.36  2.538  48
46.54  1.951  28
40.95  2.204  28
22.68  3.921  27
34.62  2.591  22
59.78  1.547  21

Structural model:
```
data_TbCrSe3
_chemical_formula_sum 'Tb4 Cr4 Se12'
_symmetry_space_group_name_H-M 'P n m a'
_symmetry_Int_Tables_number 62
_symmetry_space_group_name_Hall '-P 2ac 2n'
_cell_length_a 8.2216
_cell_length_b 3.9025
_cell_length_c 13.3511
_cell_angle_alpha 90.00
_cell_angle_beta 90.00
_cell_angle_gamma 90.00
loop_
_atom_site_label
_atom_site_type_symbol
_atom_site_fract_x
_atom_site_fract_y
_atom_site_fract_z
Tb1 Tb 0.0794 0.2500 0.1716
Cr1 Cr 0.1636 0.7500 0.4509
Se1 Se 0.0079 0.7500 0.6105
Se2 Se 0.1534 0.7500 0.0078
Se3 Se 0.1986 0.2500 0.7835
```

---

[5]
# ZnRhO3
Theoretical powder diffractogram, Cu Kα X-rays. Input: a cell relaxed with GGA-PBE.

Largest 8 diffraction maxima, in order of falling intensity, 2θ = 15–90°:
two_theta  d/Å  I (rel.)
32.54  2.752  100
58.06  1.589  38
46.69  1.946  35
68.16  1.376  20
77.58  1.231  16
22.85  3.891  13
86.67  1.123  7
52.59  1.740  5

Structural model:
```
data_ZnRhO3
_chemical_formula_sum 'Zn1 Rh1 O3'
_symmetry_space_group_name_H-M 'P m -3 m'
_symmetry_Int_Tables_number 221
_symmetry_space_group_name_Hall '-P 4 2 3'
_cell_length_a 3.8913
_cell_length_b 3.8913
_cell_length_c 3.8913
_cell_angle_alpha 90.00
_cell_angle_beta 90.00
_cell_angle_gamma 90.00
loop_
_atom_site_label
_atom_site_type_symbol
_atom_site_fract_x
_atom_site_fract_y
_atom_site_fract_z
Zn1 Zn 0.0000 0.0000 0.0000
Rh1 Rh 0.5000 0.5000 0.5000
O1 O 0.0000 0.5000 0.5000
```